No. 1
The following is a simulated powder diffraction line list of AcMg2Cd9. It was derived from a DFT-relaxed cell (PBE, Alexandria), using Cu Kα (weighted mean of Kα1 and Kα2).

Top 6 peaks for 5° ≤ 2θ ≤ 70°, by intensity:
d_spacing	intensity
2.685	100
2.488	80
1.825	28
1.472	26
1.413	26
3.258	25

Atomic structure:
```
data_AcMg2Cd9
_space_group_name_H-M_alt 'P 6/m m m'
_space_group_IT_number 191
_space_group_name_Hall '-P 6 2'
_cell_length_a 9.9534
_cell_length_b 9.9534
_cell_length_c 3.4320
_cell_angle_alpha 90.00
_cell_angle_beta 90.00
_cell_angle_gamma 120.00
loop_
_atom_site_label
_atom_site_type_symbol
_atom_site_fract_x
_atom_site_fract_y
_atom_site_fract_z
Ac1 Ac 0.0000 0.0000 0.0000
Mg1 Mg 0.3333 0.6667 0.0000
Cd1 Cd 0.0000 0.5000 0.0000
Cd2 Cd 0.1822 0.3644 0.5000
```

***

No. 2
The following is a simulated powder diffraction line list of OsPt4. It was derived from a DFT-relaxed cell (PBE, Alexandria), using Cu Kα (weighted mean of Kα1 and Kα2).

Top 6 peaks for 5° ≤ 2θ ≤ 70°, by intensity:
d_spacing	intensity
2.271	100
1.971	65
2.292	33
1.389	22
1.399	21
2.866	1

Atomic structure:
```
data_OsPt4
_space_group_name_H-M_alt 'R -3 m'
_space_group_IT_number 166
_space_group_name_Hall '-R 3 2"'
_cell_length_a 2.7779
_cell_length_b 2.7779
_cell_length_c 34.3869
_cell_angle_alpha 90.00
_cell_angle_beta 90.00
_cell_angle_gamma 120.00
loop_
_atom_site_label
_atom_site_type_symbol
_atom_site_fract_x
_atom_site_fract_y
_atom_site_fract_z
Os1 Os 0.0000 0.0000 0.0000
Pt1 Pt 0.0000 0.0000 0.2010
Pt2 Pt 0.0000 0.0000 0.3974
```

***

No. 3
The following is a simulated powder diffraction line list of Tm12InPb6. It was derived from a DFT-relaxed cell (PBE, Alexandria), using Cu Kα (weighted mean of Kα1 and Kα2).

Top 6 peaks for 5° ≤ 2θ ≤ 70°, by intensity:
d_spacing	intensity
2.457	100
2.858	76
2.570	76
4.164	64
3.929	28
2.187	26

Atomic structure:
```
data_Tm12InPb6
_space_group_name_H-M_alt 'R -3'
_space_group_IT_number 148
_space_group_name_Hall '-R 3'
_cell_length_a 13.5973
_cell_length_b 13.5973
_cell_length_c 11.7897
_cell_angle_alpha 90.00
_cell_angle_beta 90.00
_cell_angle_gamma 120.00
loop_
_atom_site_label
_atom_site_type_symbol
_atom_site_fract_x
_atom_site_fract_y
_atom_site_fract_z
Tm1 Tm 0.0259 0.8360 0.3838
Tm2 Tm 0.0588 0.8398 0.8931
In1 In 0.0000 0.0000 0.0000
Pb1 Pb 0.0372 0.7688 0.6445
```

***

No. 4
The following is a simulated powder diffraction line list of CdIn2Br3Cl. It was derived from a DFT-relaxed cell (PBE, Alexandria), using Cu Kα (weighted mean of Kα1 and Kα2).

Top 6 peaks for 5° ≤ 2θ ≤ 70°, by intensity:
d_spacing	intensity
3.824	100
2.776	87
2.790	50
2.637	48
1.912	36
2.721	35

Atomic structure:
```
data_CdIn2Br3Cl
_space_group_name_H-M_alt 'I m m m'
_space_group_IT_number 71
_space_group_name_Hall '-I 2 2'
_cell_length_a 5.275
_cell_length_b 5.551
_cell_length_c 16.324
_cell_angle_alpha 90.00
_cell_angle_beta 90.00
_cell_angle_gamma 90.00
loop_
_atom_site_label
_atom_site_type_symbol
_atom_site_fract_x
_atom_site_fract_y
_atom_site_fract_z
Cd1 Cd 0.000 0.000 0.000
In1 In 0.000 0.000 0.361
Br1 Br 0.000 0.000 0.169
Br2 Br 0.000 0.500 0.000
Cl1 Cl 0.000 0.500 0.500
```